The following is a computed powder X-ray diffraction pattern of La5Mo2O12. It was derived from a crystal structure in Alexandria, relaxed with PBE+U, using a wavelength of 1.5418 Å.
Lines closer than 0.1° are merged.

Top 10 peaks for 5 to 70 degrees two-theta, in order of rising 2θ:
2θ/deg  d/Å  I/Imax
26.2  3.396  98.4
26.8  3.326  100.0
30.0  2.980  14.1
31.1  2.877  57.6
38.3  2.348  20.7
43.8  2.069  51.8
45.3  2.004  22.2
52.1  1.755  21.8
53.1  1.726  27.1
53.2  1.721  21.8

Structural model:
```
data_La5Mo2O12
_cell_length_a 7.1662
_cell_length_b 7.1662
_cell_length_c 8.0155
_cell_angle_alpha 106.28
_cell_angle_beta 106.28
_cell_angle_gamma 49.14
_space_group_name_H-M_alt 'P 1'
_space_group_IT_number 1
loop_
_space_group_symop_operation_xyz
'x,y,z'
loop_
_atom_site_label
_atom_site_type_symbol
_atom_site_fract_x
_atom_site_fract_y
_atom_site_fract_z
La1 La 0.0000 0.0000 0.0000
La2 La 0.3102 0.3102 0.1431
La3 La 0.3146 0.3146 0.6725
La4 La 0.6854 0.6854 0.3275
La5 La 0.6898 0.6898 0.8569
Mo1 Mo 0.2162 0.7838 0.5000
Mo2 Mo 0.7838 0.2162 0.5000
O1 O 0.0013 0.0013 0.6969
O2 O 0.0923 0.5933 0.4233
O3 O 0.0942 0.5920 0.9209
O4 O 0.4067 0.9077 0.5767
O5 O 0.4080 0.9058 0.0791
O6 O 0.4997 0.4997 0.3317
O7 O 0.5003 0.5003 0.6683
O8 O 0.5920 0.0942 0.9209
O9 O 0.5933 0.0923 0.4233
O10 O 0.9058 0.4080 0.0791
O11 O 0.9077 0.4067 0.5767
O12 O 0.9987 0.9987 0.3031
```